Calculated X-ray diffraction stick pattern of Si7SnN10 for CuKα, from a structure optimized by DFT (GGA-PBE).
Neutral-atom scattering factors, no anomalous dispersion.

Cell: 6.8520 6.8299 9.7506 Å, 90.00 106.10 90.00°
Positions (direct):
Si1 0.0000 0.0244 0.0000
Si2 0.0000 0.9756 0.5000
Si3 0.1255 0.3641 0.6667
Si4 0.1255 0.6359 0.1667
Si5 0.3083 0.3786 0.9846
Si6 0.3083 0.6214 0.4846
Si7 0.5730 0.4021 0.7498
Si8 0.5730 0.5979 0.2498
Si9 0.7596 0.3825 0.0586
Si10 0.7596 0.6175 0.5586
Si11 0.8180 0.0249 0.6925
Si12 0.8180 0.9751 0.1925
Si13 0.9477 0.3689 0.3627
Si14 0.9477 0.6311 0.8627
Sn1 0.4482 0.0019 0.3410
Sn2 0.4482 0.9981 0.8410
N1 0.0217 0.1346 0.6458
N2 0.0217 0.8654 0.1458
N3 0.1646 0.4154 0.5007
N4 0.1646 0.5846 0.0007
N5 0.2001 0.1618 0.9978
N6 0.2001 0.8382 0.4978
N7 0.3502 0.3721 0.8079
N8 0.3502 0.6279 0.3079
N9 0.5407 0.4270 0.1108
N10 0.5407 0.5730 0.6108
N11 0.6233 0.1663 0.7097
N12 0.6233 0.8337 0.2097
N13 0.7514 0.4978 0.8998
N14 0.7514 0.5022 0.3998
N15 0.7759 0.1297 0.0392
N16 0.7759 0.8703 0.5392
N17 0.9035 0.1185 0.3459
N18 0.9035 0.8815 0.8459
N19 0.9612 0.4611 0.1994
N20 0.9612 0.5389 0.6994

Principal peaks in the range 10° ≤ 2θ ≤ 90°, by angle:
| d (Å) | intensity | (hkl) |
| --- | --- | --- |
| 3.724 | 57 | 1 1 -2 |
| 3.415 | 75 | 0 2 0 |
| 3.397 | 57 | 1 0 2 |
| 3.042 | 69 | 1 1 2 |
| 2.965 | 53 | 2 1 0 |
| 2.845 | 100 | 2 1 -2 |

***

Calculated X-ray diffraction stick pattern of ZnCdAg2 for CuKα, from a structure optimized by DFT (GGA-PBE).
Neutral-atom scattering factors, no anomalous dispersion.

Cell: 3.0663 5.0632 9.5870 Å, 90.00 90.00 90.00°
Positions (direct):
Zn1 0.0000 0.0000 0.0000
Zn2 0.5000 0.5000 0.0000
Cd1 0.0000 0.5000 0.7466
Cd2 0.5000 0.0000 0.7466
Ag1 0.0000 0.0000 0.4809
Ag2 0.0000 0.5000 0.2298
Ag3 0.5000 0.0000 0.2298
Ag4 0.5000 0.5000 0.4809

Principal peaks in the range 10° ≤ 2θ ≤ 90°, by angle:
| d (Å) | intensity | (hkl) |
| --- | --- | --- |
| 2.531 | 36 | 0 2 0 |
| 2.397 | 27 | 0 0 4 |
| 2.301 | 100 | 1 1 2 |
| 1.740 | 20 | 0 2 4 |
| 1.413 | 20 | 1 3 2 |
| 1.365 | 16 | 1 1 6 |

***

Calculated X-ray diffraction stick pattern of PmTlRh2 for CuKα, from a structure optimized by DFT (GGA-PBE).
Neutral-atom scattering factors, no anomalous dispersion.

Cell: 6.8073 6.8073 6.8073 Å, 90.00 90.00 90.00°
Positions (direct):
Pm1 0.0000 0.0000 0.0000
Pm2 0.0000 0.5000 0.5000
Pm3 0.5000 0.0000 0.5000
Pm4 0.5000 0.5000 0.0000
Tl1 0.0000 0.0000 0.5000
Tl2 0.0000 0.5000 0.0000
Tl3 0.5000 0.0000 0.0000
Tl4 0.5000 0.5000 0.5000
Rh1 0.2500 0.2500 0.2500
Rh2 0.2500 0.2500 0.7500
Rh3 0.2500 0.7500 0.2500
Rh4 0.2500 0.7500 0.7500
Rh5 0.7500 0.2500 0.2500
Rh6 0.7500 0.2500 0.7500
Rh7 0.7500 0.7500 0.2500
Rh8 0.7500 0.7500 0.7500

Principal peaks in the range 10° ≤ 2θ ≤ 90°, by angle:
| d (Å) | intensity | (hkl) |
| --- | --- | --- |
| 3.404 | 7 | 2 0 0 |
| 2.407 | 100 | 2 2 0 |
| 1.702 | 17 | 4 0 0 |
| 1.522 | 3 | 4 2 0 |
| 1.390 | 35 | 4 2 2 |
| 1.203 | 11 | 4 4 0 |

***

Calculated X-ray diffraction stick pattern of La2Mn3Cu9P7 for CuKα, from a structure optimized by DFT (GGA-PBE).
Neutral-atom scattering factors, no anomalous dispersion.

Cell: 9.5420 9.5420 3.8742 Å, 90.00 90.00 120.00°
Positions (direct):
La1 0.0000 0.0000 0.0000
La2 0.3333 0.6667 0.5000
Mn1 0.4549 0.2455 0.0000
Mn2 0.7545 0.2094 0.0000
Mn3 0.7906 0.5451 0.0000
Cu1 0.0370 0.7546 0.5000
Cu2 0.0902 0.3777 0.0000
Cu3 0.2454 0.2825 0.5000
Cu4 0.2875 0.9098 0.0000
Cu5 0.5086 0.0574 0.5000
Cu6 0.5488 0.4914 0.5000
Cu7 0.6223 0.7125 0.0000
Cu8 0.7175 0.9630 0.5000
Cu9 0.9426 0.4512 0.5000
P1 0.0740 0.6292 0.0000
P2 0.2554 0.0380 0.5000
P3 0.3708 0.4448 0.0000
P4 0.5552 0.9260 0.0000
P5 0.6667 0.3333 0.5000
P6 0.7826 0.7446 0.5000
P7 0.9620 0.2174 0.5000

Principal peaks in the range 10° ≤ 2θ ≤ 90°, by angle:
| d (Å) | intensity | (hkl) |
| --- | --- | --- |
| 2.755 | 12 | 3 0 0 |
| 2.432 | 100 | 1 2 1 |
| 1.973 | 12 | 3 1 1 |
| 1.937 | 20 | 0 0 2 |
| 1.803 | 16 | 4 1 0 |
| 1.703 | 11 | 2 3 1 |

***

Calculated X-ray diffraction stick pattern of CeCoGeH for CuKα, from a structure optimized by DFT (GGA-PBE).
Neutral-atom scattering factors, no anomalous dispersion.

Cell: 4.0010 4.0010 7.4488 Å, 90.00 90.00 90.00°
Positions (direct):
Ce1 0.2500 0.2500 0.1754
Ce2 0.7500 0.7500 0.8246
Co1 0.2500 0.7500 0.5000
Co2 0.7500 0.2500 0.5000
Ge1 0.2500 0.2500 0.6712
Ge2 0.7500 0.7500 0.3288
H1 0.2500 0.7500 0.0000
H2 0.7500 0.2500 0.0000

Principal peaks in the range 10° ≤ 2θ ≤ 90°, by angle:
| d (Å) | intensity | (hkl) |
| --- | --- | --- |
| 2.829 | 41 | 1 1 0 |
| 2.726 | 100 | 1 0 2 |
| 2.253 | 66 | 1 1 2 |
| 2.000 | 51 | 2 0 0 |
| 1.688 | 31 | 1 0 4 |
| 1.613 | 41 | 2 1 2 |